[1]
The following is a calculated X-ray diffraction stick pattern of Sr3Pt8Pb. It was derived from a cell relaxed with GGA-PBE, using CuKα.

Largest 12 diffraction maxima, in order of falling intensity, 10 to 80 degrees two-theta:
2θ 38.0, I 100, hkl 1 1 6; 2θ 39.7, I 57, hkl 0 2 4; 2θ 38.2, I 32, hkl 1 0 10; 2θ 19.6, I 28, hkl 0 1 2; 2θ 67.4, I 21, hkl 2 2 0; 2θ 67.7, I 20, hkl 0 2 16; 2θ 40.0, I 19, hkl 0 0 12; 2θ 46.3, I 18, hkl 2 0 8; 2θ 61.3, I 17, hkl 3 0 6; 2θ 61.4, I 16, hkl 2 1 10; 2θ 32.2, I 9, hkl 1 1 0; 2θ 32.4, I 9, hkl 0 1 8

Structural model:
Lattice parameters (Å, degrees): 5.5599 5.5599 27.0507 90.00 90.00 120.00
Space group R3m (No. 160, hexagonal axes)
Asymmetric unit:
1 Sr 0.0000 0.0000 0.0000 (multiplicity 3)
2 Sr 0.0000 0.0000 0.1264 (multiplicity 3)
3 Sr 0.0000 0.0000 0.6227 (multiplicity 3)
4 Pt 0.0000 0.0000 0.3125 (multiplicity 3)
5 Pt 0.0000 0.0000 0.8126 (multiplicity 3)
6 Pt 0.9998 0.4999 0.5621 (multiplicity 9)
7 Pt 0.0011 0.5005 0.0630 (multiplicity 9)
8 Pb 0.0000 0.0000 0.4983 (multiplicity 3)

***

[2]
The following is a calculated X-ray diffraction stick pattern of Tb5Pt2Pb. It was derived from a cell relaxed with GGA-PBE, using CuKα.

Largest 12 diffraction maxima, in order of falling intensity, 10 to 80 degrees two-theta:
2θ 32.1, I 100, hkl 2 1 3; 2θ 35.9, I 57, hkl 3 1 0; 2θ 41.9, I 24, hkl 2 1 5; 2θ 34.8, I 23, hkl 2 0 4; 2θ 67.0, I 21, hkl 4 4 0; 2θ 66.6, I 17, hkl 3 1 8; 2θ 51.8, I 17, hkl 4 2 0; 2θ 30.8, I 15, hkl 1 1 4; 2θ 13.0, I 12, hkl 0 0 2; 2θ 20.6, I 9, hkl 1 1 2; 2θ 54.0, I 9, hkl 0 0 8; 2θ 56.3, I 9, hkl 3 3 4

Structural model:
Lattice parameters (Å, degrees): 7.902 7.902 13.581 90.00 90.00 90.00
Space group I4/mcm (No. 140)
Asymmetric unit:
1 Tb 0.000 0.000 0.000 (multiplicity 4)
2 Tb 0.158 0.342 0.137 (multiplicity 16)
3 Pt 0.137 0.363 0.500 (multiplicity 8)
4 Pb 0.000 0.000 0.250 (multiplicity 4)

***

[3]
The following is a calculated X-ray diffraction stick pattern of TePtPb. It was derived from a cell relaxed with GGA-PBE, using CuKα.

Largest 12 diffraction maxima, in order of falling intensity, 10 to 80 degrees two-theta:
2θ 31.0, I 100, hkl 1 2 -1; 2θ 43.4, I 76, hkl 2 0 2; 2θ 46.0, I 75, hkl 1 3 1; 2θ 29.7, I 74, hkl 0 1 2; 2θ 40.8, I 72, hkl 1 1 -3; 2θ 41.0, I 68, hkl 3 1 -1; 2θ 29.8, I 66, hkl 2 1 0; 2θ 20.6, I 62, hkl 1 1 -1; 2θ 26.5, I 57, hkl 0 0 2; 2θ 26.6, I 49, hkl 2 0 0; 2θ 37.9, I 38, hkl 0 2 2; 2θ 64.6, I 28, hkl 2 4 -2

Structural model:
Lattice parameters (Å, degrees): 6.994 6.724 7.026 90.00 106.93 90.00
Space group P2_1/c (No. 14)
Asymmetric unit:
1 Te 0.148 0.132 0.360 (multiplicity 4)
2 Pt 0.238 0.006 0.745 (multiplicity 4)
3 Pb 0.361 0.641 0.636 (multiplicity 4)

***

[4]
The following is a calculated X-ray diffraction stick pattern of ThZnPtPb. It was derived from a cell relaxed with GGA-PBE, using CuKα.

Largest 12 diffraction maxima, in order of falling intensity, 10 to 80 degrees two-theta:
2θ 35.6, I 100, hkl 2 2 0; 2θ 64.0, I 37, hkl 4 2 2; 2θ 51.3, I 18, hkl 4 0 0; 2θ 75.5, I 12, hkl 4 4 0; 2θ 21.6, I 7, hkl 1 1 1; 2θ 25.0, I 7, hkl 2 0 0; 2θ 42.1, I 4, hkl 3 1 1; 2θ 57.9, I 3, hkl 4 2 0; 2θ 44.0, I 2, hkl 2 2 2; 2θ 56.3, I 2, hkl 3 3 1; 2θ 79.6, I 1, hkl 5 3 1; 2θ 68.4, I 1, hkl 5 1 1

Structural model:
Lattice parameters (Å, degrees): 7.124 7.124 7.124 90.00 90.00 90.00
Space group F-43m (No. 216)
Asymmetric unit:
1 Th 0.000 0.000 0.000 (multiplicity 4)
2 Zn 0.250 0.250 0.750 (multiplicity 4)
3 Pt 0.250 0.250 0.250 (multiplicity 4)
4 Pb 0.000 0.000 0.500 (multiplicity 4)

***

Copy entry 4 word for word.
The following is a calculated X-ray diffraction stick pattern of ThZnPtPb. It was derived from a cell relaxed with GGA-PBE, using CuKα.

Largest 12 diffraction maxima, in order of falling intensity, 10 to 80 degrees two-theta:
2θ 35.6, I 100, hkl 2 2 0; 2θ 64.0, I 37, hkl 4 2 2; 2θ 51.3, I 18, hkl 4 0 0; 2θ 75.5, I 12, hkl 4 4 0; 2θ 21.6, I 7, hkl 1 1 1; 2θ 25.0, I 7, hkl 2 0 0; 2θ 42.1, I 4, hkl 3 1 1; 2θ 57.9, I 3, hkl 4 2 0; 2θ 44.0, I 2, hkl 2 2 2; 2θ 56.3, I 2, hkl 3 3 1; 2θ 79.6, I 1, hkl 5 3 1; 2θ 68.4, I 1, hkl 5 1 1

Structural model:
Lattice parameters (Å, degrees): 7.124 7.124 7.124 90.00 90.00 90.00
Space group F-43m (No. 216)
Asymmetric unit:
1 Th 0.000 0.000 0.000 (multiplicity 4)
2 Zn 0.250 0.250 0.750 (multiplicity 4)
3 Pt 0.250 0.250 0.250 (multiplicity 4)
4 Pb 0.000 0.000 0.500 (multiplicity 4)